This entry pairs a crystal structure of Tl2In5Bi5 with its computed X-ray diffraction stick pattern. Radiation: copper Kα. Structure: a crystal structure in Alexandria, relaxed with GGA-PBE.
Intensities are scaled so that the largest is 100.

Peak list (8 most intense, 2θ from 15° to 90°, in order of rising 2θ)
- hkl 2 1 1, 31.50 deg, rel. 52
- hkl 1 2 3, 31.80 deg, rel. 100
- hkl 1 2 -1, 32.33 deg, rel. 81
- hkl 0 0 4, 33.07 deg, rel. 40
- hkl 0 3 1, 45.65 deg, rel. 15
- hkl 2 1 -3, 46.31 deg, rel. 32
- hkl 3 3 0, 56.60 deg, rel. 25
- hkl -1 1 6, 57.92 deg, rel. 18

Structure:
```
data_Tl2In5Bi5
_chemical_formula_sum 'Tl2 In5 Bi5'
_space_group_name_H-M_alt 'P -1'
_space_group_IT_number 2
_space_group_name_Hall '-P 1'
_cell_length_a 5.6810
_cell_length_b 6.6002
_cell_length_c 11.4194
_cell_angle_alpha 73.58
_cell_angle_beta 75.66
_cell_angle_gamma 64.64
loop_
_atom_site_label
_atom_site_fract_x
_atom_site_fract_y
_atom_site_fract_z
_atom_site_occupancy
Tl1 0.0800 0.0913 0.2498 1
In1 0.0000 0.5000 0.0000 1
In2 0.1631 0.6809 0.4925 1
In3 0.2388 0.2868 0.7311 1
Bi1 0.3227 0.8777 0.9741 1
Bi2 0.4026 0.4557 0.2398 1
Bi3 0.5000 0.0000 0.5000 1
```